Entry 1:
The following is a simulated X-ray diffraction stick pattern of Li3ZrN2. It was derived from a DFT-relaxed cell (GGA-PBE, the Materials Project), using copper Kα.
Intensities are scaled so that the largest is 100.

Atomic structure:
a = 6.110 Å, b = 10.885 Å, c = 6.121 Å
α = 90.00°, β = 118.61°, γ = 90.00°
Sites, in units of the cell vectors:
Li 0.028 0.201 0.266
Li 0.028 0.299 0.766
Li 0.229 0.064 0.046
Li 0.229 0.436 0.546
Li 0.320 0.525 0.043
Li 0.320 0.975 0.543
Li 0.680 0.025 0.457
Li 0.680 0.475 0.957
Li 0.771 0.564 0.454
Li 0.771 0.936 0.954
Li 0.972 0.701 0.234
Li 0.972 0.799 0.734
Zr 0.484 0.704 0.734
Zr 0.484 0.796 0.234
Zr 0.516 0.204 0.766
Zr 0.516 0.296 0.266
N 0.388 0.146 0.396
N 0.388 0.354 0.896
N 0.489 0.553 0.548
N 0.489 0.947 0.048
N 0.511 0.053 0.952
N 0.511 0.447 0.452
N 0.612 0.646 0.104
N 0.612 0.854 0.604

Peak list (10 most intense, 2θ = 10–90°, in order of rising 2θ)
d [Å], I (rel.)
5.443, 32.2
5.364, 100.0
3.822, 36.2
3.782, 18.0
2.684, 20.3
2.666, 23.7
2.428, 12.3
2.417, 16.3
2.408, 27.7
2.368, 11.1

---

Entry 2:
The following is a simulated X-ray diffraction stick pattern of LiZr2N3. It was derived from a DFT-relaxed cell (GGA-PBE, the Materials Project), using copper Kα.
Intensities are scaled so that the largest is 100.

Atomic structure:
a = 6.639 Å, b = 6.639 Å, c = 4.431 Å
α = 90.00°, β = 90.00°, γ = 60.39°
Sites, in units of the cell vectors:
Li 0.134 0.866 0.750
Li 0.866 0.134 0.250
Zr 0.164 0.518 0.250
Zr 0.482 0.836 0.250
Zr 0.518 0.164 0.750
Zr 0.836 0.482 0.750
N 0.169 0.467 0.750
N 0.187 0.813 0.250
N 0.467 0.169 0.250
N 0.533 0.831 0.750
N 0.813 0.187 0.750
N 0.831 0.533 0.250

Peak list (10 most intense, 2θ = 10–90°, in order of rising 2θ)
d [Å], I (rel.)
5.751, 90.9
3.515, 95.2
3.339, 45.3
3.319, 57.7
2.667, 37.3
2.657, 100.0
2.215, 42.3
1.924, 49.0
1.844, 34.1
1.453, 36.5

---

Entry 3:
The following is a simulated X-ray diffraction stick pattern of NaLiNb4O12. It was derived from a DFT-relaxed cell (GGA-PBE, the Materials Project), using copper Kα.
Intensities are scaled so that the largest is 100.

Atomic structure:
a = 7.878 Å, b = 5.503 Å, c = 5.503 Å
α = 89.09°, β = 90.00°, γ = 90.00°
Sites, in units of the cell vectors:
Na 0.000 0.000 0.000
Li 0.500 0.537 0.537
Nb 0.253 0.021 0.507
Nb 0.253 0.507 0.021
Nb 0.747 0.021 0.507
Nb 0.747 0.507 0.021
O 0.000 0.065 0.479
O 0.000 0.479 0.065
O 0.215 0.741 0.741
O 0.239 0.224 0.817
O 0.239 0.817 0.224
O 0.312 0.333 0.333
O 0.500 0.538 0.938
O 0.500 0.938 0.538
O 0.688 0.333 0.333
O 0.761 0.224 0.817
O 0.761 0.817 0.224
O 0.785 0.741 0.741

Peak list (10 most intense, 2θ = 10–90°, in order of rising 2θ)
d [Å], I (rel.)
3.930, 100.0
3.860, 45.4
2.779, 24.9
2.754, 58.5
1.969, 12.9
1.755, 19.3
1.732, 17.5
1.601, 13.4
1.598, 13.4
1.585, 13.4

---

Entry 4:
The following is a simulated X-ray diffraction stick pattern of NaLiO3. It was derived from a DFT-relaxed cell (GGA-PBE, the Materials Project), using copper Kα.
Intensities are scaled so that the largest is 100.

Atomic structure:
a = 3.838 Å, b = 3.838 Å, c = 3.838 Å
α = 90.00°, β = 90.00°, γ = 90.00°
Sites, in units of the cell vectors:
Na 0.000 0.000 0.000
Li 0.500 0.500 0.500
O 0.000 0.500 0.500
O 0.500 0.000 0.500
O 0.500 0.500 0.000

Peak list (9 most intense, 2θ = 10–90°, in order of rising 2θ)
d [Å], I (rel.)
2.714, 9.8
2.216, 100.0
1.919, 59.0
1.716, 0.5
1.567, 5.0
1.357, 28.3
1.214, 2.0
1.157, 20.4
1.108, 8.2

---

Entry 5:
The following is a simulated X-ray diffraction stick pattern of NaLiO. It was derived from a DFT-relaxed cell (GGA-PBE, the Materials Project), using copper Kα.
Intensities are scaled so that the largest is 100.

Atomic structure:
a = 6.801 Å, b = 6.801 Å, c = 6.801 Å
α = 96.45°, β = 96.45°, γ = 140.85°
Sites, in units of the cell vectors:
Na 0.000 0.342 0.342
Na 0.000 0.658 0.658
Na 0.342 0.000 0.342
Na 0.658 0.000 0.658
Li 0.350 0.350 0.699
Li 0.350 0.650 0.000
Li 0.650 0.350 0.000
Li 0.650 0.650 0.301
O 0.219 0.500 0.719
O 0.500 0.219 0.719
O 0.500 0.781 0.281
O 0.781 0.500 0.281

Peak list (10 most intense, 2θ = 10–90°, in order of rising 2θ)
d [Å], I (rel.)
6.407, 100.0
3.204, 53.5
2.518, 22.3
2.279, 32.5
2.147, 11.1
2.136, 35.9
1.980, 21.3
1.857, 17.3
1.558, 23.1
1.295, 11.6

---

Entry 6:
The following is a simulated X-ray diffraction stick pattern of NaLiO. It was derived from a DFT-relaxed cell (GGA-PBE, the Materials Project), using copper Kα.
Intensities are scaled so that the largest is 100.

Atomic structure:
a = 3.353 Å, b = 3.353 Å, c = 6.735 Å
α = 90.00°, β = 90.00°, γ = 120.00°
Sites, in units of the cell vectors:
Na 0.000 0.000 0.000
Na 0.000 0.000 0.500
Li 0.333 0.667 0.250
Li 0.667 0.333 0.750
O 0.333 0.667 0.750
O 0.667 0.333 0.250

Peak list (10 most intense, 2θ = 10–90°, in order of rising 2θ)
d [Å], I (rel.)
2.904, 16.6
2.666, 15.0
2.199, 100.0
1.776, 2.7
1.684, 10.8
1.676, 32.0
1.457, 4.1
1.452, 2.0
1.333, 15.4
1.188, 15.7